Record 1
Li3Sc2Pb4: simulated powder X-ray diffraction pattern (λ = 1.5418 Å (Cu Kα)), based on DFT lattice parameters and positions (PBE).

Most intense lines, 10 to 80 degrees two-theta, in order of rising 2θ:
- d 3.831, 2θ = 23.2°, I = 97, (0 1 1)
- d 3.266, 2θ = 27.3°, I = 42, (0 1 2)
- d 2.707, 2θ = 33.1°, I = 100, (1 0 3)
- d 2.365, 2θ = 38.1°, I = 66, (1 1 0)
- d 2.258, 2θ = 39.9°, I = 15, (0 1 4)
- d 2.012, 2θ = 45.1°, I = 18, (2 0 1)
- d 1.915, 2θ = 47.5°, I = 13, (2 0 2)
- d 1.781, 2θ = 51.3°, I = 48, (0 2 3)
- d 1.651, 2θ = 55.7°, I = 18, (0 1 6)
- d 1.532, 2θ = 60.4°, I = 15, (1 2 1)
- d 1.423, 2θ = 65.6°, I = 25, (2 1 3)
- d 1.365, 2θ = 68.8°, I = 12, (3 0 0)

Atomic structure:
Unit cell a=4.7291 b=4.7291 c=10.8249 alpha=90.00 beta=90.00 gamma=120.00
Space group P-3m1 (No. 164)
Symmetry-distinct sites (fractional):
Li: 0.0000 0.0000 0.0000 [1 per cell]
Li: 0.3333 0.6667 0.5531 [2 per cell]
Sc: 0.3333 0.6667 0.2293 [2 per cell]
Pb: 0.0000 0.0000 0.3511 [2 per cell]
Pb: 0.3333 0.6667 0.9028 [2 per cell]

Record 2
Li2Pb2Se: simulated powder X-ray diffraction pattern (λ = 1.5418 Å (Cu Kα)), based on DFT lattice parameters and positions (PBE).

Most intense lines, 10 to 80 degrees two-theta, in order of rising 2θ:
- d 5.149, 2θ = 17.2°, I = 64, (0 0 1)
- d 3.503, 2θ = 25.4°, I = 37, (1 1 1)
- d 3.023, 2θ = 29.6°, I = 67, (2 1 0)
- d 2.825, 2θ = 31.7°, I = 43, (2 0 1)
- d 2.607, 2θ = 34.4°, I = 100, (2 1 1)
- d 2.574, 2θ = 34.9°, I = 30, (0 0 2)
- d 2.137, 2θ = 42.3°, I = 25, (3 1 0)
- d 1.960, 2θ = 46.3°, I = 40, (2 1 2)
- d 1.644, 2θ = 55.9°, I = 22, (3 1 2)
- d 1.562, 2θ = 59.1°, I = 18, (4 1 1)
- d 1.522, 2θ = 60.9°, I = 22, (3 3 1)
- d 1.492, 2θ = 62.2°, I = 19, (2 1 3)

Atomic structure:
Unit cell a=6.7592 b=6.7592 c=5.1485 alpha=90.00 beta=90.00 gamma=90.00
Space group P4/mbm (No. 127)
Symmetry-distinct sites (fractional):
Li: 0.1560 0.3440 0.0000 [4 per cell]
Pb: 0.1629 0.6629 0.5000 [4 per cell]
Se: 0.0000 0.0000 0.0000 [2 per cell]